1.
This entry pairs a crystal structure of Ac2Tl3Ge with its computed powder X-ray diffraction pattern. Radiation: Cu Ka. Structure: a GGA-PBE-relaxed structure.

Crystal structure
abc: 4.286 5.018 8.859
angles: 90.00 90.00 90.00
Positions (direct):
Ac  0.000  0.000  0.000
Ac  0.000  0.500  0.451
Tl  0.500  0.000  0.625
Tl  0.500  0.500  0.143
Tl  0.500  0.500  0.803
Ge  0.500  0.000  0.303

Peak list (10 most intense, 2θ from 5° to 70°, in order of falling intensity)
29.20 deg, rel. 100; 35.27 deg, rel. 56; 28.99 deg, rel. 46; 56.11 deg, rel. 31; 35.79 deg, rel. 30; 46.69 deg, rel. 26; 42.17 deg, rel. 19; 56.47 deg, rel. 16; 60.31 deg, rel. 13; 46.13 deg, rel. 13

=====

2.
This entry pairs a crystal structure of Ac6Tl6Ge with its computed powder X-ray diffraction pattern. Radiation: Cu Ka. Structure: a GGA-PBE-relaxed structure.

Crystal structure
abc: 6.963 6.963 11.362
angles: 90.00 90.00 120.00
Positions (direct):
Ac  0.000  0.000  0.228
Ac  0.000  0.000  0.772
Ac  0.333  0.667  0.000
Ac  0.333  0.667  0.500
Ac  0.667  0.333  0.000
Ac  0.667  0.333  0.500
Tl  0.000  0.500  0.246
Tl  0.000  0.500  0.754
Tl  0.500  0.000  0.246
Tl  0.500  0.000  0.754
Tl  0.500  0.500  0.246
Tl  0.500  0.500  0.754
Ge  0.000  0.000  0.500

Peak list (10 most intense, 2θ from 5° to 70°, in order of falling intensity)
33.65 deg, rel. 100; 31.50 deg, rel. 32; 30.10 deg, rel. 29; 29.63 deg, rel. 29; 62.58 deg, rel. 28; 25.58 deg, rel. 25; 52.57 deg, rel. 25; 57.46 deg, rel. 21; 43.78 deg, rel. 18; 63.88 deg, rel. 17

=====

3.
This entry pairs a crystal structure of Ac12Tl5Ge2 with its computed powder X-ray diffraction pattern. Radiation: Cu Ka. Structure: a GGA-PBE-relaxed structure.

Crystal structure
abc: 10.217 10.217 9.759
angles: 106.38 106.38 51.65
Positions (direct):
Ac  0.021  0.021  0.305
Ac  0.061  0.591  0.319
Ac  0.086  0.664  0.936
Ac  0.336  0.914  0.064
Ac  0.409  0.939  0.681
Ac  0.420  0.420  0.649
Ac  0.580  0.580  0.351
Ac  0.591  0.061  0.319
Ac  0.664  0.086  0.936
Ac  0.914  0.336  0.064
Ac  0.939  0.409  0.681
Ac  0.979  0.979  0.695
Tl  0.214  0.214  0.414
Tl  0.268  0.268  0.989
Tl  0.500  0.500  0.000
Tl  0.732  0.732  0.011
Tl  0.786  0.786  0.586
Ge  0.268  0.732  0.500
Ge  0.732  0.268  0.500

Peak list (10 most intense, 2θ from 5° to 70°, in order of falling intensity)
27.45 deg, rel. 100; 28.62 deg, rel. 46; 28.90 deg, rel. 28; 40.54 deg, rel. 22; 30.75 deg, rel. 21; 32.28 deg, rel. 19; 25.12 deg, rel. 18; 35.56 deg, rel. 16; 29.89 deg, rel. 15; 25.66 deg, rel. 15

=====

4.
This entry pairs a crystal structure of Ac4TlGe2 with its computed powder X-ray diffraction pattern. Radiation: Cu Ka. Structure: a GGA-PBE-relaxed structure.

Crystal structure
abc: 8.881 8.881 10.243
angles: 124.73 124.73 71.65
Positions (direct):
Ac  0.201  0.795  0.930
Ac  0.205  0.799  0.570
Ac  0.272  0.365  0.070
Ac  0.365  0.272  0.570
Ac  0.635  0.728  0.430
Ac  0.728  0.635  0.930
Ac  0.795  0.201  0.430
Ac  0.799  0.205  0.070
Tl  0.125  0.875  0.250
Tl  0.875  0.125  0.750
Ge  0.000  0.500  0.500
Ge  0.500  0.000  0.000
Ge  0.500  0.500  0.000
Ge  0.500  0.500  0.500

Peak list (10 most intense, 2θ from 5° to 70°, in order of falling intensity)
27.16 deg, rel. 100; 24.40 deg, rel. 78; 27.49 deg, rel. 76; 32.49 deg, rel. 57; 17.31 deg, rel. 40; 32.85 deg, rel. 38; 44.79 deg, rel. 34; 35.03 deg, rel. 30; 40.97 deg, rel. 30; 51.83 deg, rel. 24

=====

5.
This entry pairs a crystal structure of Ac3TlGe2 with its computed powder X-ray diffraction pattern. Radiation: Cu Ka. Structure: a GGA-PBE-relaxed structure.

Crystal structure
abc: 8.631 8.631 8.631
angles: 57.39 57.39 57.39
Positions (direct):
Ac  0.049  0.750  0.451
Ac  0.250  0.549  0.951
Ac  0.451  0.049  0.750
Ac  0.549  0.951  0.250
Ac  0.750  0.451  0.049
Ac  0.951  0.250  0.549
Tl  0.000  0.000  0.000
Tl  0.500  0.500  0.500
Ge  0.153  0.153  0.153
Ge  0.347  0.347  0.347
Ge  0.653  0.653  0.653
Ge  0.847  0.847  0.847

Peak list (10 most intense, 2θ from 5° to 70°, in order of falling intensity)
24.80 deg, rel. 100; 33.00 deg, rel. 64; 37.59 deg, rel. 46; 64.94 deg, rel. 30; 50.87 deg, rel. 24; 43.66 deg, rel. 22; 45.56 deg, rel. 18; 26.17 deg, rel. 11; 60.50 deg, rel. 10; 58.95 deg, rel. 7

=====

6.
This entry pairs a crystal structure of Ac12Tl6Ge with its computed powder X-ray diffraction pattern. Radiation: Cu Ka. Structure: a GGA-PBE-relaxed structure.

Crystal structure
abc: 9.155 9.155 9.155
angles: 93.24 93.24 93.24
Positions (direct):
Ac  0.049  0.694  0.933
Ac  0.067  0.951  0.306
Ac  0.180  0.538  0.405
Ac  0.306  0.067  0.951
Ac  0.405  0.180  0.538
Ac  0.462  0.595  0.820
Ac  0.538  0.405  0.180
Ac  0.595  0.820  0.462
Ac  0.694  0.933  0.049
Ac  0.820  0.462  0.595
Ac  0.933  0.049  0.694
Ac  0.951  0.306  0.067
Tl  0.160  0.360  0.767
Tl  0.233  0.840  0.640
Tl  0.360  0.767  0.160
Tl  0.640  0.233  0.840
Tl  0.767  0.160  0.360
Tl  0.840  0.640  0.233
Ge  0.500  0.500  0.500

Peak list (10 most intense, 2θ from 5° to 70°, in order of falling intensity)
28.55 deg, rel. 100; 32.36 deg, rel. 70; 25.07 deg, rel. 45; 30.42 deg, rel. 32; 31.56 deg, rel. 25; 36.47 deg, rel. 20; 57.30 deg, rel. 16; 26.80 deg, rel. 15; 51.50 deg, rel. 13; 36.06 deg, rel. 12

=====

7.
This entry pairs a crystal structure of Ac3YGe6 with its computed powder X-ray diffraction pattern. Radiation: Cu Ka. Structure: a GGA-PBE-relaxed structure.

Crystal structure
abc: 8.207 8.207 8.207
angles: 98.32 98.32 98.32
Positions (direct):
Ac  0.184  0.750  0.316
Ac  0.250  0.684  0.816
Ac  0.316  0.184  0.750
Ac  0.684  0.816  0.250
Ac  0.750  0.316  0.184
Ac  0.816  0.250  0.684
Y  0.000  0.000  0.000
Y  0.500  0.500  0.500
Ge  0.017  0.091  0.379
Ge  0.091  0.379  0.017
Ge  0.121  0.409  0.483
Ge  0.379  0.017  0.091
Ge  0.409  0.483  0.121
Ge  0.483  0.121  0.409
Ge  0.517  0.879  0.591
Ge  0.591  0.517  0.879
Ge  0.621  0.983  0.909
Ge  0.879  0.591  0.517
Ge  0.909  0.621  0.983
Ge  0.983  0.909  0.621

Peak list (10 most intense, 2θ from 5° to 70°, in order of falling intensity)
30.90 deg, rel. 100; 33.56 deg, rel. 60; 34.26 deg, rel. 52; 26.53 deg, rel. 39; 49.60 deg, rel. 32; 44.78 deg, rel. 30; 53.19 deg, rel. 16; 14.26 deg, rel. 16; 43.85 deg, rel. 15; 61.67 deg, rel. 12

=====

8.
This entry pairs a crystal structure of AcZnGe3 with its computed powder X-ray diffraction pattern. Radiation: Cu Ka. Structure: a GGA-PBE-relaxed structure.

Crystal structure
abc: 5.861 5.861 5.861
angles: 131.16 131.16 71.55
Positions (direct):
Ac  0.000  0.000  0.000
Zn  0.637  0.637  0.000
Ge  0.250  0.750  0.500
Ge  0.371  0.371  0.000
Ge  0.750  0.250  0.500

Peak list (10 most intense, 2θ from 5° to 70°, in order of falling intensity)
32.20 deg, rel. 100; 33.79 deg, rel. 79; 37.10 deg, rel. 72; 51.05 deg, rel. 50; 20.57 deg, rel. 34; 26.00 deg, rel. 31; 64.79 deg, rel. 30; 63.81 deg, rel. 28; 53.48 deg, rel. 25; 51.62 deg, rel. 18

=====

9.
This entry pairs a crystal structure of Ac3Zn2Ge4 with its computed powder X-ray diffraction pattern. Radiation: Cu Ka. Structure: a GGA-PBE-relaxed structure.

Crystal structure
abc: 6.412 6.412 9.042
angles: 108.79 108.79 40.45
Positions (direct):
Ac  0.000  0.000  0.000
Ac  0.379  0.379  0.316
Ac  0.621  0.621  0.684
Zn  0.317  0.317  0.668
Zn  0.683  0.683  0.332
Ge  0.106  0.106  0.396
Ge  0.282  0.282  0.944
Ge  0.718  0.718  0.056
Ge  0.894  0.894  0.604

Peak list (10 most intense, 2θ from 5° to 70°, in order of falling intensity)
32.08 deg, rel. 100; 30.13 deg, rel. 97; 31.15 deg, rel. 81; 31.61 deg, rel. 79; 22.74 deg, rel. 70; 38.37 deg, rel. 63; 40.70 deg, rel. 54; 52.43 deg, rel. 44; 57.54 deg, rel. 35; 36.81 deg, rel. 34

=====

10.
This entry pairs a crystal structure of AcZn2Ge3 with its computed powder X-ray diffraction pattern. Radiation: Cu Ka. Structure: a GGA-PBE-relaxed structure.

Crystal structure
abc: 12.971 12.971 12.971
angles: 159.87 159.87 28.61
Positions (direct):
Ac  0.145  0.145  0.000
Ac  0.855  0.855  0.000
Zn  0.250  0.750  0.500
Zn  0.404  0.404  0.000
Zn  0.596  0.596  0.000
Zn  0.750  0.250  0.500
Ge  0.049  0.549  0.500
Ge  0.305  0.305  0.000
Ge  0.451  0.951  0.500
Ge  0.549  0.049  0.500
Ge  0.695  0.695  0.000
Ge  0.951  0.451  0.500

Peak list (10 most intense, 2θ from 5° to 70°, in order of falling intensity)
31.33 deg, rel. 100; 39.77 deg, rel. 72; 31.79 deg, rel. 71; 51.79 deg, rel. 37; 66.94 deg, rel. 32; 35.26 deg, rel. 31; 44.40 deg, rel. 27; 22.30 deg, rel. 26; 57.51 deg, rel. 24; 61.11 deg, rel. 21

=====

11.
This entry pairs a crystal structure of Ac3ZnGe3 with its computed powder X-ray diffraction pattern. Radiation: Cu Ka. Structure: a GGA-PBE-relaxed structure.

Crystal structure
abc: 10.283 10.283 10.283
angles: 155.82 153.64 36.06
Positions (direct):
Ac  0.000  0.000  0.000
Ac  0.186  0.686  0.500
Ac  0.366  0.366  0.000
Zn  0.616  0.116  0.500
Ge  0.546  0.546  0.000
Ge  0.745  0.245  0.500
Ge  0.826  0.826  0.000

Peak list (10 most intense, 2θ from 5° to 70°, in order of falling intensity)
29.61 deg, rel. 100; 29.75 deg, rel. 59; 38.40 deg, rel. 49; 24.78 deg, rel. 38; 33.68 deg, rel. 28; 52.27 deg, rel. 25; 46.87 deg, rel. 24; 27.36 deg, rel. 22; 41.95 deg, rel. 22; 58.17 deg, rel. 17

=====

12.
This entry pairs a crystal structure of Ac2Zn5Ge3 with its computed powder X-ray diffraction pattern. Radiation: Cu Ka. Structure: a GGA-PBE-relaxed structure.

Crystal structure
abc: 4.588 4.588 10.175
angles: 90.00 90.00 90.00
Positions (direct):
Ac  0.000  0.500  0.249
Ac  0.500  0.000  0.751
Zn  0.000  0.000  0.000
Zn  0.000  0.000  0.500
Zn  0.000  0.500  0.880
Zn  0.500  0.000  0.120
Zn  0.500  0.500  0.000
Ge  0.000  0.500  0.630
Ge  0.500  0.000  0.370
Ge  0.500  0.500  0.500

Peak list (10 most intense, 2θ from 5° to 70°, in order of falling intensity)
32.74 deg, rel. 100; 32.84 deg, rel. 77; 39.27 deg, rel. 60; 52.10 deg, rel. 43; 67.10 deg, rel. 35; 27.49 deg, rel. 29; 21.24 deg, rel. 28; 48.97 deg, rel. 26; 64.49 deg, rel. 22; 56.75 deg, rel. 20

=====

13.
This entry pairs a crystal structure of Ac2HfH2O6 with its computed powder X-ray diffraction pattern. Radiation: Cu Ka. Structure: a GGA-PBE-relaxed structure.

Crystal structure
abc: 6.011 6.011 6.011
angles: 53.44 53.44 53.44
Positions (direct):
Ac  0.234  0.234  0.234
Ac  0.766  0.766  0.766
Hf  0.000  0.000  0.000
H  0.421  0.421  0.421
H  0.579  0.579  0.579
O  0.257  0.257  0.730
O  0.257  0.730  0.257
O  0.270  0.743  0.743
O  0.730  0.257  0.257
O  0.743  0.270  0.743
O  0.743  0.743  0.270

Peak list (10 most intense, 2θ from 5° to 70°, in order of falling intensity)
30.04 deg, rel. 100; 33.15 deg, rel. 90; 45.34 deg, rel. 50; 34.86 deg, rel. 42; 19.82 deg, rel. 40; 57.30 deg, rel. 35; 22.22 deg, rel. 33; 64.41 deg, rel. 22; 40.27 deg, rel. 19; 48.88 deg, rel. 18